Structure and simulated powder diffractogram of ZnAs2 (a DFT-relaxed cell (GGA-PBE, the Materials Project); Cu Kα, 1.54184 Å).

Largest 6 diffraction maxima, in order of rising 2θ, 2θ from 5° to 70°:
| 2theta | I (rel.) |
| --- | --- |
| 24.80 | 429 |
| 26.28 | 1000 |
| 30.06 | 465 |
| 40.35 | 353 |
| 44.50 | 296 |
| 47.35 | 519 |

Atomic structure:
```
data_ZnAs2
_chemical_formula_sum 'Zn8 As16'
_cell_length_a 9.407
_cell_length_b 7.802
_cell_length_c 8.144
_cell_angle_alpha 90.00
_cell_angle_beta 102.50
_cell_angle_gamma 90.00
_symmetry_space_group_name_H-M 'P 1 21/c 1'
_symmetry_Int_Tables_number 14
loop_
_symmetry_equiv_pos_as_xyz
'x,y,z'
'-x,-y,-z'
'-x,y+1/2,-z+1/2'
'x,-y+1/2,z+1/2'
loop_
_atom_site_label
_atom_site_fract_x
_atom_site_fract_y
_atom_site_fract_z
Zn1 0.081 0.249 0.394
Zn2 0.389 0.601 0.223
As1 0.067 0.745 0.892
As2 0.238 0.512 0.433
As3 0.243 0.509 0.936
As4 0.385 0.576 0.719
```